Starting from a crystal structure in the Materials Project, relaxed with PBE, the X-ray diffraction stick pattern of Cu was calculated for Cu Kα (λ = 1.5418 Å).
No peak broadening, texture or thermal motion is included.

Top 8 peaks for 10 to 80 degrees two-theta, by angle:
d_spacing	2theta	intensity	(hkl)
2.215	40.74	8.3	1 0 0
2.141	42.21	44.5	1 0 1
2.086	43.38	36.5	0 0 4
1.956	46.42	100.0	1 0 2
1.733	52.84	22.1	1 0 3
1.518	61.02	4.6	1 0 4
1.333	70.68	8.5	1 0 5
1.279	74.15	19.6	1 1 0

Cell and atoms:
a = 2.5576 Å, b = 2.5576 Å, c = 8.3431 Å
α = 90.00°, β = 90.00°, γ = 120.00°
Space group P6_3/mmc (No. 194)
Symmetry-distinct sites (fractional):
Cu (0.0000, 0.0000, 0.0000) (multiplicity 2)
Cu (0.3333, 0.6667, 0.2500) (multiplicity 2)